TbPu2P3: calculated XRD peak list (λ = 1.5418 Å (Cu Kα)), based on a crystal structure in Alexandria, relaxed with PBE.

Cell and atoms:
a b c (Å): 4.0069 5.6563 11.9953
angles (deg): 90.00 90.00 90.00
Space group Immm (No. 71)
Unique sites:
Tb 0.0000 0.0000 0.0000 (multiplicity 2)
Pu 0.0000 0.0000 0.3347 (multiplicity 4)
P 0.0000 0.5000 0.0000 (multiplicity 2)
P 0.0000 0.5000 0.3289 (multiplicity 4)

Peak list (12 most intense, 2θ from 10° to 80°, low angle first)
index, 2theta, d/Å, I (rel.)
0 1 1, 17.3, 5.116, 3
1 1 0, 27.3, 3.267, 100
1 0 3, 31.6, 2.830, 96
2 0 0, 45.3, 2.001, 59
0 0 6, 45.4, 1.999, 12
2 1 3, 53.7, 1.706, 50
2 2 0, 56.3, 1.634, 25
0 4 0, 66.0, 1.415, 12
3 1 0, 72.8, 1.299, 10
1 3 6, 72.9, 1.298, 10
3 0 3, 75.0, 1.267, 6
1 4 3, 75.1, 1.265, 27